Record 1
B2HCl8: computed X-ray diffraction stick pattern (Cu Kα X-rays), based on a structure optimized by DFT (GGA-PBE).
Kinematic intensities with the Lorentz-polarization factor, no thermal factor.

The 10 most intense peaks (2θ = 10–90°), sorted by position:
- 2θ 17.5, I 100, hkl 1 1 -1
- 2θ 19.0, I 54, hkl 0 2 0
- 2θ 19.4, I 54, hkl 2 0 -1
- 2θ 23.8, I 45, hkl 0 2 1
- 2θ 27.9, I 58, hkl 3 1 -1
- 2θ 30.0, I 45, hkl 1 3 0
- 2θ 31.2, I 76, hkl 2 2 1
- 2θ 43.2, I 50, hkl 1 1 -3
- 2θ 44.9, I 45, hkl 3 3 -2
- 2θ 46.3, I 36, hkl 2 4 1

Cell and atoms:
a b c (Å): 10.768 9.324 6.454
angles (deg): 90.00 103.23 90.00
Space group C2/m (No. 12)
Inequivalent atoms, fractional coordinates:
B 0.216 0.000 0.319 (multiplicity 4)
H 0.000 0.000 0.000 (multiplicity 2)
Cl 0.121 0.154 0.179 (multiplicity 8)
Cl 0.121 0.500 0.724 (multiplicity 4)
Cl 0.222 0.000 0.603 (multiplicity 4)

***

Record 2
BH6Cl2: computed X-ray diffraction stick pattern (Cu Kα X-rays), based on a structure optimized by DFT (GGA-PBE).
Kinematic intensities with the Lorentz-polarization factor, no thermal factor.

The 10 most intense peaks (2θ = 10–90°), sorted by position:
- 2θ 18.9, I 100, hkl 0 0 1
- 2θ 26.0, I 46, hkl 2 0 -1
- 2θ 27.8, I 41, hkl 2 0 1
- 2θ 34.2, I 20, hkl 0 2 0
- 2θ 38.4, I 12, hkl 4 0 0
- 2θ 38.5, I 12, hkl 0 0 2
- 2θ 39.4, I 33, hkl 0 2 1
- 2θ 43.4, I 18, hkl 2 2 -1
- 2θ 44.4, I 10, hkl 2 0 2
- 2θ 44.7, I 15, hkl 2 2 1

Cell and atoms:
a b c (Å): 9.407 5.243 4.686
angles (deg): 90.00 93.93 90.00
Space group C2/m (No. 12)
Inequivalent atoms, fractional coordinates:
B 0.000 0.000 0.000 (multiplicity 2)
H 0.060 0.162 0.866 (multiplicity 8)
H 0.108 0.000 0.195 (multiplicity 4)
Cl 0.235 0.500 0.518 (multiplicity 4)

***

Record 3
B2H4Cl: computed X-ray diffraction stick pattern (Cu Kα X-rays), based on a structure optimized by DFT (GGA-PBE).
Kinematic intensities with the Lorentz-polarization factor, no thermal factor.

The 10 most intense peaks (2θ = 10–90°), sorted by position:
- 2θ 18.0, I 76, hkl 0 0 2
- 2θ 23.5, I 100, hkl 0 1 1
- 2θ 24.0, I 42, hkl 1 0 -1
- 2θ 28.4, I 28, hkl 1 1 0
- 2θ 33.5, I 25, hkl 1 1 2
- 2θ 34.2, I 14, hkl 1 1 -2
- 2θ 35.1, I 14, hkl 0 1 3
- 2θ 35.7, I 14, hkl 1 0 -3
- 2θ 38.0, I 14, hkl 1 -1 2
- 2θ 54.2, I 13, hkl 1 2 3

Cell and atoms:
a b c (Å): 4.101 4.151 9.840
angles (deg): 89.77 88.31 80.81
Space group P1 (No. 1)
Inequivalent atoms, fractional coordinates:
B 0.000 0.000 0.000 (multiplicity 1)
B 0.037 0.282 0.460 (multiplicity 1)
B 0.579 0.855 0.962 (multiplicity 1)
B 0.891 0.857 0.500 (multiplicity 1)
H 0.085 0.714 0.026 (multiplicity 1)
H 0.176 0.770 0.527 (multiplicity 1)
H 0.319 0.237 0.423 (multiplicity 1)
H 0.511 0.965 0.075 (multiplicity 1)
H 0.617 0.577 0.928 (multiplicity 1)
H 0.661 0.876 0.579 (multiplicity 1)
H 0.923 0.336 0.574 (multiplicity 1)
H 0.978 0.221 0.078 (multiplicity 1)
Cl 0.263 0.095 0.845 (multiplicity 1)
Cl 0.803 0.607 0.345 (multiplicity 1)

***

Record 4
B2H8Cl: computed X-ray diffraction stick pattern (Cu Kα X-rays), based on a structure optimized by DFT (GGA-PBE).
Kinematic intensities with the Lorentz-polarization factor, no thermal factor.

The 10 most intense peaks (2θ = 10–90°), sorted by position:
- 2θ 14.6, I 70, hkl 1 1 0
- 2θ 14.8, I 42, hkl 0 2 0
- 2θ 25.3, I 43, hkl 2 0 0
- 2θ 25.6, I 100, hkl 1 3 0
- 2θ 37.5, I 17, hkl 1 1 -1
- 2θ 37.9, I 12, hkl 0 2 1
- 2θ 38.1, I 16, hkl 1 1 1
- 2θ 44.8, I 11, hkl 3 3 0
- 2θ 52.6, I 12, hkl 2 6 0
- 2θ 53.9, I 14, hkl 2 4 1

Cell and atoms:
a b c (Å): 7.044 11.991 2.588
angles (deg): 90.00 91.30 90.00
Space group C2/m (No. 12)
Inequivalent atoms, fractional coordinates:
B 0.000 0.165 0.000 (multiplicity 4)
H 0.000 0.225 0.500 (multiplicity 4)
H 0.130 0.500 0.008 (multiplicity 4)
H 0.151 0.119 0.009 (multiplicity 8)
Cl 0.000 0.500 0.500 (multiplicity 2)